SrFe5O6: calculated XRD peak list (λ = 1.5418 Å (Cu Kα)), based on a cell relaxed with PBE+U.
Kinematic intensities with the Lorentz-polarization factor, no thermal factor.

```
SrFe5O6
1.0
2.777 -4.819 0.000
2.777 4.819 0.000
-1.694 0.000 5.251
Sr Fe O
1 5 6
direct
0.000 0.000 0.000
0.171 0.829 0.500
0.331 0.669 0.000
0.500 0.500 0.500
0.669 0.331 0.000
0.829 0.171 0.500
0.096 0.460 0.250
0.258 0.258 0.714
0.460 0.096 0.250
0.540 0.904 0.750
0.742 0.742 0.286
0.904 0.540 0.750
```

The 6 most intense peaks (10 to 90 degrees two-theta), by intensity:
2θ = 39.4°, intensity 100.0; 2θ = 34.4°, intensity 55.6; 2θ = 40.3°, intensity 45.8; 2θ = 57.5°, intensity 28.2; 2θ = 33.9°, intensity 27.9; 2θ = 57.8°, intensity 27.9